No. 1
This entry pairs a crystal structure of RbMgPH12O10 with its theoretical XRD peak list. Radiation: Cu Ka. Structure: DFT lattice parameters and positions (PBE).

Peak list (10 most intense, 2θ from 10° to 80°, sorted by position)
2θ (°)	Rel. int.
19.28	39.5
20.82	96.7
21.26	70.3
26.80	88.8
30.04	37.8
30.64	100.0
31.45	39.2
33.06	43.5
33.61	77.8
46.10	60.9

Structural model:
Cell lengths 6.9238, 6.1633, 11.3768 Å; angles 90.00, 90.00, 90.00 degrees
Space group Pmn2_1 (No. 31)
Asymmetric unit:
Rb: 0.0000 0.1362 0.0000 [2 per cell]
Mg: 0.0000 0.1259 0.6475 [2 per cell]
P: 0.0000 0.5045 0.2792 [2 per cell]
H: 0.0000 0.6756 0.6132 [2 per cell]
H: 0.0000 0.7742 0.4818 [2 per cell]
H: 0.1182 0.5074 0.7668 [4 per cell]
H: 0.1766 0.8834 0.2919 [4 per cell]
H: 0.1777 0.6696 0.0788 [4 per cell]
H: 0.2027 0.2996 0.4579 [4 per cell]
H: 0.2475 0.1308 0.2803 [4 per cell]
O: 0.0000 0.4466 0.7262 [2 per cell]
O: 0.0000 0.5295 0.1436 [2 per cell]
O: 0.0000 0.7343 0.3383 [2 per cell]
O: 0.0000 0.8127 0.5680 [2 per cell]
O: 0.1851 0.3813 0.3198 [4 per cell]
O: 0.2112 0.0231 0.7665 [4 per cell]
O: 0.2242 0.2356 0.5382 [4 per cell]



No. 2
This entry pairs a crystal structure of MgTlPH12O10 with its theoretical XRD peak list. Radiation: Cu Ka. Structure: DFT lattice parameters and positions (PBE).

Peak list (10 most intense, 2θ from 10° to 80°, sorted by position)
2θ (°)	Rel. int.
14.99	98.3
19.31	45.7
20.86	100.0
21.35	70.8
26.91	77.3
30.19	67.9
30.67	97.1
33.66	63.7
35.70	44.6
46.26	47.5

Structural model:
Cell lengths 6.9279, 6.1421, 11.3163 Å; angles 90.00, 90.00, 90.00 degrees
Space group Pmn2_1 (No. 31)
Asymmetric unit:
Mg: 0.0000 0.1295 0.0000 [2 per cell]
Tl: 0.0000 0.1157 0.3481 [2 per cell]
P: 0.0000 0.4986 0.6301 [2 per cell]
H: 0.0000 0.6800 0.9661 [2 per cell]
H: 0.0000 0.7772 0.8342 [2 per cell]
H: 0.1179 0.5120 0.1179 [4 per cell]
H: 0.1758 0.6643 0.4305 [4 per cell]
H: 0.1779 0.8761 0.6462 [4 per cell]
H: 0.2050 0.2993 0.8087 [4 per cell]
H: 0.2472 0.1254 0.6333 [4 per cell]
O: 0.0000 0.4533 0.0760 [2 per cell]
O: 0.0000 0.5251 0.4936 [2 per cell]
O: 0.0000 0.7294 0.6890 [2 per cell]
O: 0.0000 0.8174 0.9203 [2 per cell]
O: 0.1849 0.3749 0.6708 [4 per cell]
O: 0.2085 0.0294 0.1228 [4 per cell]
O: 0.2270 0.2375 0.8903 [4 per cell]